Entry 1:
# TbLu2In3Pt2
Computed X-ray diffraction stick pattern, Cu Ka. Input: the PBE geometry in OQMD.
Neutral-atom scattering factors, no anomalous dispersion.

Top 8 peaks for 10° ≤ 2θ ≤ 80°, in order of rising 2θ:
index, 2θ/deg, I_rel
0 2 0, 13.33, 28
1 0 2, 34.24, 100
0 5 1, 35.78, 70
1 2 2, 36.90, 70
0 3 3, 40.77, 19
1 7 1, 56.14, 22
2 5 1, 63.80, 25
1 3 5, 70.04, 23

```
data_TbLu2In3Pt2
_chemical_formula_sum 'Tb2 Lu4 In6 Pt4'
_space_group_name_H-M_alt 'A m m 2'
_space_group_IT_number 38
_space_group_name_Hall 'A 2 -2'
_cell_length_a 3.586
_cell_length_b 13.291
_cell_length_c 7.661
_cell_angle_alpha 90.00
_cell_angle_beta 90.00
_cell_angle_gamma 90.00
loop_
_atom_site_label
_atom_site_fract_x
_atom_site_fract_y
_atom_site_fract_z
Tb1 0.000 0.000 0.000
Lu1 0.000 0.211 0.368
In1 0.500 0.000 0.350
In2 0.500 0.116 0.694
Pt1 0.500 0.170 0.081
```

Entry 2:
# Tm2LuIn3Pt2
Computed X-ray diffraction stick pattern, Cu Ka. Input: the PBE geometry in OQMD.
Neutral-atom scattering factors, no anomalous dispersion.

Top 8 peaks for 10° ≤ 2θ ≤ 80°, in order of rising 2θ:
index, 2θ/deg, I_rel
0 1 1, 13.37, 28
1 3 1, 34.35, 100
0 1 3, 35.87, 69
1 4 0, 37.01, 70
0 6 0, 40.87, 19
1 5 3, 56.31, 22
2 1 3, 64.03, 25
1 9 1, 70.24, 23

```
data_Tm2LuIn3Pt2
_chemical_formula_sum 'Tm4 Lu2 In6 Pt4'
_space_group_name_H-M_alt 'A m m 2'
_space_group_IT_number 38
_space_group_name_Hall 'A 2 -2'
_cell_length_a 3.572
_cell_length_b 13.245
_cell_length_c 7.652
_cell_angle_alpha 90.00
_cell_angle_beta 90.00
_cell_angle_gamma 90.00
loop_
_atom_site_label
_atom_site_fract_x
_atom_site_fract_y
_atom_site_fract_z
Tm1 0.000 0.211 0.000
Lu1 0.000 0.000 0.632
In1 0.500 0.000 0.980
In2 0.500 0.115 0.326
Pt1 0.500 0.166 0.711
```

Entry 3:
# Y2LuIn3Pt2
Computed X-ray diffraction stick pattern, Cu Ka. Input: the PBE geometry in OQMD.
Neutral-atom scattering factors, no anomalous dispersion.

Top 8 peaks for 10° ≤ 2θ ≤ 80°, in order of rising 2θ:
index, 2θ/deg, I_rel
0 1 1, 13.30, 34
1 3 1, 34.05, 100
0 1 3, 35.69, 76
1 4 0, 36.71, 68
0 6 0, 40.67, 23
1 4 2, 43.85, 26
2 1 3, 63.37, 28
1 9 1, 69.78, 28

```
data_Y2LuIn3Pt2
_chemical_formula_sum 'Y4 Lu2 In6 Pt4'
_space_group_name_H-M_alt 'A m m 2'
_space_group_IT_number 38
_space_group_name_Hall 'A 2 -2'
_cell_length_a 3.614
_cell_length_b 13.315
_cell_length_c 7.684
_cell_angle_alpha 90.00
_cell_angle_beta 90.00
_cell_angle_gamma 90.00
loop_
_atom_site_label
_atom_site_fract_x
_atom_site_fract_y
_atom_site_fract_z
Y1 0.000 0.210 0.000
Lu1 0.000 0.000 0.632
In1 0.500 0.000 0.977
In2 0.500 0.115 0.327
Pt1 0.500 0.162 0.708
```

Entry 4:
# Lu3InS6
Computed X-ray diffraction stick pattern, Cu Ka. Input: the PBE geometry in OQMD.
Neutral-atom scattering factors, no anomalous dispersion.

Top 8 peaks for 10° ≤ 2θ ≤ 80°, in order of rising 2θ:
index, 2θ/deg, I_rel
2 4 0, 25.58, 100
4 0 0, 26.85, 83
2 1 1, 27.71, 29
2 3 1, 31.81, 40
3 2 1, 33.03, 32
3 3 1, 35.31, 40
0 5 1, 36.32, 34
0 0 2, 48.16, 30

```
data_Lu3InS6
_chemical_formula_sum 'Lu12 In4 S24'
_space_group_name_H-M_alt 'P 21 21 2'
_space_group_IT_number 18
_space_group_name_Hall 'P 2 2ab'
_cell_length_a 13.275
_cell_length_b 16.361
_cell_length_c 3.779
_cell_angle_alpha 90.00
_cell_angle_beta 90.00
_cell_angle_gamma 90.00
loop_
_atom_site_label
_atom_site_fract_x
_atom_site_fract_y
_atom_site_fract_z
Lu1 0.035 0.226 0.254
Lu2 0.192 0.645 0.252
Lu3 0.249 0.390 0.239
In1 0.000 0.000 0.801
In2 0.000 0.500 0.747
S1 0.019 0.393 0.247
S2 0.100 0.909 0.265
S3 0.109 0.121 0.757
S4 0.117 0.744 0.753
S5 0.180 0.286 0.742
S6 0.196 0.521 0.749
```

Entry 5:
# TmLuSc2In2
Computed X-ray diffraction stick pattern, Cu Ka. Input: the PBE geometry in OQMD.
Neutral-atom scattering factors, no anomalous dispersion.

Top 8 peaks for 10° ≤ 2θ ≤ 80°, in order of rising 2θ:
index, 2θ/deg, I_rel
1 0 0, 19.94, 23
1 0 1, 24.22, 15
1 0 2, 34.14, 100
1 1 0, 34.89, 82
2 0 2, 49.62, 35
2 1 2, 62.09, 35
3 0 0, 62.57, 15
1 1 4, 68.25, 23

```
data_TmLuSc2In2
_chemical_formula_sum 'Tm1 Lu1 Sc2 In2'
_space_group_name_H-M_alt 'P -3 m 1'
_space_group_IT_number 164
_space_group_name_Hall '-P 3 2"'
_cell_length_a 5.1427
_cell_length_b 5.1427
_cell_length_c 6.5035
_cell_angle_alpha 90.00
_cell_angle_beta 90.00
_cell_angle_gamma 120.00
loop_
_atom_site_label
_atom_site_fract_x
_atom_site_fract_y
_atom_site_fract_z
Tm1 0.0000 0.0000 0.0000
Lu1 0.0000 0.0000 0.5000
Sc1 0.3333 0.6667 0.7498
In1 0.3333 0.6667 0.2501
```

Entry 6:
# LuTlInSe3
Computed X-ray diffraction stick pattern, Cu Ka. Input: the PBE geometry in OQMD.
Neutral-atom scattering factors, no anomalous dispersion.

Top 8 peaks for 10° ≤ 2θ ≤ 80°, in order of rising 2θ:
index, 2θ/deg, I_rel
0 2 2, 19.74, 41
1 3 0, 28.32, 100
1 3 1, 29.43, 31
0 0 4, 31.83, 57
1 5 0, 37.28, 25
1 3 4, 43.12, 64
2 0 0, 44.61, 24
2 0 4, 55.84, 24

```
data_LuTlInSe3
_chemical_formula_sum 'Lu4 Tl4 In4 Se12'
_space_group_name_H-M_alt 'C m c m'
_space_group_IT_number 63
_space_group_name_Hall '-C 2c 2'
_cell_length_a 4.063
_cell_length_b 14.984
_cell_length_c 11.246
_cell_angle_alpha 90.00
_cell_angle_beta 90.00
_cell_angle_gamma 90.00
loop_
_atom_site_label
_atom_site_fract_x
_atom_site_fract_y
_atom_site_fract_z
Lu1 0.000 0.000 0.000
Tl1 0.000 0.292 0.250
In1 0.000 0.381 0.750
Se1 0.000 0.008 0.750
Se2 0.000 0.370 0.502
```

Entry 7:
# Sr2LuIn
Computed X-ray diffraction stick pattern, Cu Ka. Input: the PBE geometry in OQMD.
Neutral-atom scattering factors, no anomalous dispersion.

Top 8 peaks for 10° ≤ 2θ ≤ 80°, in order of rising 2θ:
index, 2θ/deg, I_rel
1 1 1, 18.80, 8
2 2 0, 30.94, 100
3 1 1, 36.46, 5
4 0 0, 44.33, 18
3 3 1, 48.55, 2
4 2 2, 55.04, 39
4 4 0, 64.49, 12
6 2 0, 73.24, 17

```
data_Sr2LuIn
_chemical_formula_sum 'Sr8 Lu4 In4'
_space_group_name_H-M_alt 'F -4 3 m'
_space_group_IT_number 216
_space_group_name_Hall 'F -4 2 3'
_cell_length_a 8.174
_cell_length_b 8.174
_cell_length_c 8.174
_cell_angle_alpha 90.00
_cell_angle_beta 90.00
_cell_angle_gamma 90.00
loop_
_atom_site_label
_atom_site_fract_x
_atom_site_fract_y
_atom_site_fract_z
Sr1 0.000 0.000 0.000
Sr2 0.250 0.250 0.250
Lu1 0.250 0.250 0.750
In1 0.000 0.000 0.500
```

Entry 8:
# SrLuInTe3
Computed X-ray diffraction stick pattern, Cu Ka. Input: the PBE geometry in OQMD.
Neutral-atom scattering factors, no anomalous dispersion.

Top 8 peaks for 10° ≤ 2θ ≤ 80°, in order of rising 2θ:
index, 2θ/deg, I_rel
0 2 0, 11.34, 22
1 3 1, 27.72, 26
1 3 2, 31.12, 100
0 0 4, 32.39, 30
1 5 2, 38.92, 23
2 0 0, 40.91, 19
2 0 4, 53.12, 14
1 3 6, 56.98, 11

```
data_SrLuInTe3
_chemical_formula_sum 'Sr4 Lu4 In4 Te12'
_space_group_name_H-M_alt 'C m c m'
_space_group_IT_number 63
_space_group_name_Hall '-C 2c 2'
_cell_length_a 4.412
_cell_length_b 15.602
_cell_length_c 11.057
_cell_angle_alpha 90.00
_cell_angle_beta 90.00
_cell_angle_gamma 90.00
loop_
_atom_site_label
_atom_site_fract_x
_atom_site_fract_y
_atom_site_fract_z
Sr1 0.000 0.226 0.250
Lu1 0.000 0.000 0.000
In1 0.000 0.478 0.750
Te1 0.000 0.112 0.750
Te2 0.000 0.358 0.532
```

Entry 9:
# TbLuInTe3
Computed X-ray diffraction stick pattern, Cu Ka. Input: the PBE geometry in OQMD.
Neutral-atom scattering factors, no anomalous dispersion.

Top 8 peaks for 10° ≤ 2θ ≤ 80°, in order of rising 2θ:
index, 2θ/deg, I_rel
1 1 -2, 27.29, 100
6 0 0, 29.27, 62
1 1 -3, 34.01, 21
2 0 -4, 35.91, 25
5 1 2, 40.03, 30
7 1 -2, 40.86, 29
0 2 0, 41.87, 25
6 2 0, 51.90, 23

```
data_TbLuInTe3
_chemical_formula_sum 'Tb4 Lu4 In4 Te12'
_space_group_name_H-M_alt 'C 1 2/m 1'
_space_group_IT_number 12
_space_group_name_Hall '-C 2y'
_cell_length_a 18.839
_cell_length_b 4.315
_cell_length_c 10.009
_cell_angle_alpha 90.00
_cell_angle_beta 103.67
_cell_angle_gamma 90.00
loop_
_atom_site_label
_atom_site_fract_x
_atom_site_fract_y
_atom_site_fract_z
Tb1 0.171 0.000 0.075
Lu1 0.003 0.500 0.210
In1 0.142 0.000 0.552
Te1 0.000 0.000 0.000
Te2 0.000 0.500 0.500
Te3 0.163 0.500 0.846
Te4 0.166 0.500 0.294
```

Entry 10:
# TmLu2ZnIn2
Computed X-ray diffraction stick pattern, Cu Ka. Input: the PBE geometry in OQMD.
Neutral-atom scattering factors, no anomalous dispersion.

Top 8 peaks for 10° ≤ 2θ ≤ 80°, in order of rising 2θ:
index, 2θ/deg, I_rel
1 0 0, 20.51, 9
1 0 2, 33.17, 100
1 1 0, 35.92, 79
2 0 2, 49.69, 32
2 1 2, 62.82, 32
3 0 0, 64.56, 14
1 1 4, 65.69, 26
2 2 0, 76.15, 9

```
data_TmLu2ZnIn2
_chemical_formula_sum 'Tm1 Lu2 Zn1 In2'
_space_group_name_H-M_alt 'P -6 m 2'
_space_group_IT_number 187
_space_group_name_Hall 'P -6 2'
_cell_length_a 5.0004
_cell_length_b 5.0004
_cell_length_c 6.9118
_cell_angle_alpha 90.00
_cell_angle_beta 90.00
_cell_angle_gamma 120.00
loop_
_atom_site_label
_atom_site_fract_x
_atom_site_fract_y
_atom_site_fract_z
Tm1 0.0000 0.0000 0.0000
Lu1 0.3333 0.6667 0.2591
Zn1 0.6667 0.3333 0.5000
In1 0.0000 0.0000 0.5000
In2 0.6667 0.3333 0.0000
```

Entry 11:
# YLuIn2
Computed X-ray diffraction stick pattern, Cu Ka. Input: the PBE geometry in OQMD.
Neutral-atom scattering factors, no anomalous dispersion.

Top 8 peaks for 10° ≤ 2θ ≤ 80°, in order of rising 2θ:
index, 2θ/deg, I_rel
1 1 1, 20.38, 3
2 0 0, 23.57, 3
2 2 0, 33.58, 100
3 1 1, 39.60, 2
4 0 0, 48.23, 18
4 2 0, 54.36, 1
4 2 2, 60.05, 37
4 4 0, 70.59, 11

```
data_YLuIn2
_chemical_formula_sum 'Y4 Lu4 In8'
_space_group_name_H-M_alt 'F -4 3 m'
_space_group_IT_number 216
_space_group_name_Hall 'F -4 2 3'
_cell_length_a 7.548
_cell_length_b 7.548
_cell_length_c 7.548
_cell_angle_alpha 90.00
_cell_angle_beta 90.00
_cell_angle_gamma 90.00
loop_
_atom_site_label
_atom_site_fract_x
_atom_site_fract_y
_atom_site_fract_z
Y1 0.000 0.000 0.000
Lu1 0.250 0.250 0.250
In1 0.000 0.000 0.500
In2 0.250 0.250 0.750
```

Entry 12:
# Na2Mg2In2NiPd
Computed X-ray diffraction stick pattern, Cu Ka. Input: the PBE geometry in OQMD.
Neutral-atom scattering factors, no anomalous dispersion.

Top 8 peaks for 10° ≤ 2θ ≤ 80°, in order of rising 2θ:
index, 2θ/deg, I_rel
1 0 1, 22.99, 47
2 0 0, 37.99, 100
1 0 3, 44.80, 8
2 1 1, 44.90, 16
2 2 0, 54.87, 11
3 0 1, 60.20, 9
2 0 4, 68.54, 11
3 1 2, 68.66, 22

```
data_Na2Mg2In2NiPd
_chemical_formula_sum 'Na2 Mg2 In2 Ni1 Pd1'
_space_group_name_H-M_alt 'P -4 m 2'
_space_group_IT_number 115
_space_group_name_Hall 'P -4 -2'
_cell_length_a 4.733
_cell_length_b 4.733
_cell_length_c 6.714
_cell_angle_alpha 90.00
_cell_angle_beta 90.00
_cell_angle_gamma 90.00
loop_
_atom_site_label
_atom_site_fract_x
_atom_site_fract_y
_atom_site_fract_z
Na1 0.000 0.000 0.000
Na2 0.500 0.500 0.500
Mg1 0.000 0.500 0.246
In1 0.000 0.500 0.761
Ni1 0.500 0.500 0.000
Pd1 0.000 0.000 0.500
```

Entry 13:
# Na2Mg2InSnPt2
Computed X-ray diffraction stick pattern, Cu Ka. Input: the PBE geometry in OQMD.
Neutral-atom scattering factors, no anomalous dispersion.

Top 8 peaks for 10° ≤ 2θ ≤ 80°, in order of rising 2θ:
index, 2θ/deg, I_rel
1 0 1, 23.00, 67
1 1 0, 26.62, 5
2 0 0, 38.00, 100
2 1 1, 44.88, 36
2 2 0, 54.83, 17
3 0 1, 60.23, 15
3 1 2, 68.65, 35
3 2 1, 73.47, 11

```
data_Na2Mg2InSnPt2
_chemical_formula_sum 'Na2 Mg2 In1 Sn1 Pt2'
_space_group_name_H-M_alt 'P -4 m 2'
_space_group_IT_number 115
_space_group_name_Hall 'P -4 -2'
_cell_length_a 4.737
_cell_length_b 4.737
_cell_length_c 6.694
_cell_angle_alpha 90.00
_cell_angle_beta 90.00
_cell_angle_gamma 90.00
loop_
_atom_site_label
_atom_site_fract_x
_atom_site_fract_y
_atom_site_fract_z
Na1 0.000 0.500 0.248
Mg1 0.000 0.000 0.000
Mg2 0.500 0.500 0.500
In1 0.500 0.500 0.000
Sn1 0.000 0.000 0.500
Pt1 0.000 0.500 0.745
```

Entry 14:
# Na4MgZnIn2
Computed X-ray diffraction stick pattern, Cu Ka. Input: the PBE geometry in OQMD.
Neutral-atom scattering factors, no anomalous dispersion.

Top 8 peaks for 10° ≤ 2θ ≤ 80°, in order of rising 2θ:
index, 2θ/deg, I_rel
1 0 1, 21.11, 70
1 1 2, 34.67, 100
2 0 0, 35.12, 49
1 0 3, 40.55, 13
2 1 1, 41.34, 24
2 2 0, 50.51, 17
2 0 4, 61.84, 17
3 1 2, 62.71, 33

```
data_Na4MgZnIn2
_chemical_formula_sum 'Na4 Mg1 Zn1 In2'
_space_group_name_H-M_alt 'P -4 m 2'
_space_group_IT_number 115
_space_group_name_Hall 'P -4 -2'
_cell_length_a 5.111
_cell_length_b 5.111
_cell_length_c 7.414
_cell_angle_alpha 90.00
_cell_angle_beta 90.00
_cell_angle_gamma 90.00
loop_
_atom_site_label
_atom_site_fract_x
_atom_site_fract_y
_atom_site_fract_z
Na1 0.000 0.000 0.000
Na2 0.000 0.500 0.231
Na3 0.500 0.500 0.500
Mg1 0.000 0.000 0.500
Zn1 0.500 0.500 0.000
In1 0.000 0.500 0.758
```